The following is a calculated powder XRD pattern of Li3Mo2P5O18. It was derived from a cell relaxed with PBE+U, using λ = 1.5418 Å (Cu Kα).

Atomic structure:
Unit cell a=6.643 b=9.565 c=10.670 alpha=96.60 beta=92.50 gamma=92.45
Fractional positions:
Li  0.020  0.432  0.137
Li  0.127  0.695  0.668
Li  0.454  0.251  0.407
Li  0.546  0.749  0.593
Li  0.873  0.305  0.332
Li  0.980  0.568  0.863
Mo  0.229  0.856  0.407
Mo  0.330  0.268  0.953
Mo  0.670  0.732  0.047
Mo  0.771  0.144  0.593
P  0.165  0.779  0.098
P  0.172  0.083  0.179
P  0.223  0.516  0.399
P  0.276  0.092  0.644
P  0.484  0.538  0.793
P  0.516  0.462  0.207
P  0.724  0.908  0.356
P  0.777  0.484  0.601
P  0.828  0.917  0.821
P  0.835  0.221  0.902
O  0.005  0.181  0.199
O  0.013  0.317  0.963
O  0.037  0.483  0.312
O  0.078  0.147  0.591
O  0.087  0.934  0.099
O  0.200  0.753  0.236
O  0.217  0.663  0.484
O  0.266  0.930  0.599
O  0.276  0.044  0.302
O  0.286  0.398  0.471
O  0.301  0.127  0.789
O  0.327  0.130  0.083
O  0.331  0.437  0.848
O  0.340  0.419  0.103
O  0.356  0.754  0.028
O  0.395  0.663  0.742
O  0.412  0.557  0.312
O  0.460  0.157  0.581
O  0.540  0.843  0.419
O  0.588  0.443  0.688
O  0.605  0.337  0.258
O  0.644  0.246  0.972
O  0.660  0.581  0.897
O  0.669  0.563  0.152
O  0.673  0.870  0.917
O  0.699  0.873  0.211
O  0.714  0.602  0.529
O  0.724  0.956  0.698
O  0.734  0.070  0.401
O  0.783  0.337  0.516
O  0.800  0.247  0.764
O  0.913  0.066  0.901
O  0.922  0.853  0.409
O  0.963  0.517  0.688
O  0.987  0.683  0.037
O  0.995  0.819  0.801

Main lines, sorted by position (2θ from 10° to 90°):
index  2theta  d_spacing  I_rel
0 1 -1  11.8  7.517  100
1 -1 1  17.8  4.977  57
-1 1 1  18.2  4.869  76
0 2 -1  19.6  4.533  79
0 2 2  26.7  3.344  74
2 0 0  26.9  3.314  43
1 2 -2  27.3  3.265  38
2 -1 0  28.0  3.182  94